Starting from a DFT-relaxed cell (PBE+U, the Materials Project), the powder XRD pattern of Na2MnPCO7 was computed for Cu Kα.
Neutral-atom scattering factors, no anomalous dispersion.

Unit cell a=8.469 b=8.502 c=10.326 alpha=108.25 beta=107.18 gamma=103.01
Sites, in units of the cell vectors:
Na  0.000  0.000  0.000
Na  0.001  0.973  0.496
Na  0.219  0.704  0.470
Na  0.230  0.718  0.994
Na  0.470  0.472  0.991
Na  0.684  0.932  0.163
Na  0.712  0.249  0.501
Na  0.749  0.241  0.995
Mn  0.178  0.413  0.592
Mn  0.293  0.032  0.887
Mn  0.676  0.913  0.591
Mn  0.790  0.539  0.882
P  0.039  0.288  0.814
P  0.420  0.163  0.663
P  0.545  0.786  0.815
P  0.934  0.672  0.665
C  0.460  0.195  0.159
C  0.515  0.759  0.314
C  0.954  0.702  0.161
C  0.996  0.243  0.313
O  0.013  0.764  0.078
O  0.014  0.561  0.571
O  0.020  0.767  0.301
O  0.080  0.812  0.818
O  0.141  0.383  0.385
O  0.142  0.206  0.907
O  0.176  0.423  0.786
O  0.296  0.230  0.569
O  0.298  0.023  0.697
O  0.312  0.053  0.088
O  0.397  0.648  0.670
O  0.448  0.700  0.393
O  0.455  0.701  0.173
O  0.479  0.898  0.923
O  0.504  0.248  0.063
O  0.510  0.065  0.571
O  0.546  0.260  0.294
O  0.559  0.313  0.811
O  0.654  0.706  0.910
O  0.665  0.898  0.392
O  0.678  0.918  0.783
O  0.803  0.544  0.699
O  0.807  0.559  0.084
O  0.839  0.764  0.578
O  0.898  0.147  0.663
O  0.921  0.172  0.172
O  0.934  0.181  0.395
O  0.956  0.396  0.907

Principal peaks in the range 2θ from 10° to 90°, by angle:
hkl	2theta	d (Å)	intensity
1 -1 1	16.49	5.375	38.2
-1 1 1	16.68	5.315	38.2
1 1 0	19.26	4.608	31.3
1 1 -2	19.71	4.504	32.9
2 0 -1	21.50	4.133	35.2
1 1 1	25.66	3.471	65.1
2 -2 0	26.85	3.320	91.5
1 -3 0	33.26	2.694	44.8
2 -2 2	33.35	2.686	42.1
-2 2 2	33.71	2.659	41.9
2 2 -2	33.96	2.640	100.0
4 -4 0	55.34	1.660	30.2

Starting from a DFT-relaxed cell (PBE+U, the Materials Project), the powder XRD pattern of NaMnPCO7 was computed for Cu Kα.
Neutral-atom scattering factors, no anomalous dispersion.

Unit cell a=8.134 b=8.158 c=9.114 alpha=90.26 beta=92.54 gamma=100.41
Sites, in units of the cell vectors:
Na  0.000  0.000  0.000
Na  0.002  0.485  0.517
Na  0.501  0.501  0.001
Na  0.708  0.778  0.517
Mn  0.082  0.373  0.105
Mn  0.129  0.907  0.422
Mn  0.581  0.875  0.104
Mn  0.617  0.396  0.418
P  0.339  0.621  0.328
P  0.366  0.151  0.196
P  0.841  0.118  0.329
P  0.871  0.656  0.197
C  0.098  0.869  0.684
C  0.118  0.394  0.843
C  0.599  0.371  0.683
C  0.613  0.898  0.841
O  0.000  0.287  0.905
O  0.003  0.775  0.580
O  0.012  0.806  0.237
O  0.077  0.852  0.817
O  0.140  0.403  0.710
O  0.192  0.474  0.287
O  0.210  0.491  0.945
O  0.211  0.980  0.624
O  0.233  0.214  0.092
O  0.273  0.745  0.430
O  0.294  0.074  0.336
O  0.415  0.696  0.187
O  0.430  0.026  0.093
O  0.473  0.559  0.431
O  0.499  0.788  0.905
O  0.504  0.275  0.584
O  0.508  0.303  0.236
O  0.587  0.361  0.817
O  0.632  0.910  0.709
O  0.692  0.974  0.287
O  0.707  0.994  0.944
O  0.712  0.482  0.616
O  0.734  0.715  0.095
O  0.783  0.254  0.423
O  0.797  0.579  0.340
O  0.921  0.190  0.188
O  0.931  0.526  0.098
O  0.964  0.050  0.437

Principal peaks in the range 2θ from 10° to 90°, by angle:
hkl	2theta	d (Å)	intensity
-1 1 1	16.99	5.220	57.7
1 -1 1	17.40	5.095	53.8
1 1 -1	19.30	4.598	56.5
1 1 1	19.96	4.449	63.3
0 2 0	22.20	4.004	54.2
2 0 1	24.74	3.599	39.7
1 1 -2	25.49	3.495	78.1
1 1 2	26.49	3.365	26.9
2 -2 0	28.53	3.128	100.0
2 2 0	34.41	2.606	57.6
0 2 3	37.38	2.406	23.4
3 3 -2	55.97	1.643	25.1

Starting from a DFT-relaxed cell (PBE+U, the Materials Project), the powder XRD pattern of Na2MnPCO7 was computed for Cu Kα.
Neutral-atom scattering factors, no anomalous dispersion.

Unit cell a=8.467 b=8.558 c=10.175 alpha=107.77 beta=106.65 gamma=105.06
Sites, in units of the cell vectors:
Na  0.000  0.000  0.000
Na  0.009  0.996  0.487
Na  0.246  0.739  0.483
Na  0.257  0.743  0.997
Na  0.480  0.492  0.980
Na  0.722  0.235  0.489
Na  0.750  0.226  0.980
Na  0.782  0.537  0.323
Mn  0.195  0.429  0.585
Mn  0.305  0.047  0.886
Mn  0.686  0.923  0.588
Mn  0.800  0.545  0.883
P  0.054  0.299  0.815
P  0.430  0.171  0.656
P  0.554  0.796  0.817
P  0.936  0.677  0.659
C  0.018  0.267  0.310
C  0.474  0.216  0.166
C  0.521  0.764  0.310
C  0.965  0.709  0.166
O  0.011  0.571  0.559
O  0.028  0.769  0.308
O  0.029  0.773  0.085
O  0.081  0.821  0.814
O  0.158  0.217  0.907
O  0.164  0.412  0.378
O  0.188  0.434  0.783
O  0.300  0.031  0.691
O  0.313  0.239  0.564
O  0.325  0.072  0.092
O  0.404  0.657  0.665
O  0.452  0.692  0.169
O  0.462  0.711  0.399
O  0.478  0.905  0.915
O  0.517  0.070  0.567
O  0.529  0.276  0.076
O  0.555  0.286  0.305
O  0.571  0.318  0.810
O  0.656  0.710  0.906
O  0.674  0.907  0.385
O  0.690  0.929  0.784
O  0.805  0.542  0.694
O  0.816  0.563  0.088
O  0.835  0.759  0.566
O  0.909  0.153  0.662
O  0.937  0.191  0.170
O  0.968  0.214  0.405
O  0.969  0.402  0.907

Principal peaks in the range 2θ from 10° to 90°, by angle:
hkl	2theta	d (Å)	intensity
1 -1 1	16.40	5.404	34.9
-1 1 1	16.56	5.354	37.3
1 1 0	19.62	4.525	30.4
1 1 -2	20.05	4.429	35.6
2 0 -2	24.21	3.677	25.2
1 1 1	26.09	3.416	63.5
2 -2 0	26.39	3.378	100.0
1 -3 0	33.02	2.713	27.0
2 -2 2	33.16	2.702	67.6
1 1 2	34.49	2.601	26.5
2 2 -2	34.66	2.588	72.2
4 -4 0	54.32	1.689	34.1